Entry 1:
Sc2Zn5Cd: theoretical X-ray powder pattern (Cu Kα), based on DFT lattice parameters and positions (GGA-PBE).
Kinematic intensities with the Lorentz-polarization factor, no thermal factor.

Crystal structure
Cell lengths 3.797, 16.377, 9.313 Å; angles 90.00, 90.00, 90.00 degrees
Space group Cmcm (No. 63)
Asymmetric unit:
1 Sc 0.000 0.000 0.000 (multiplicity 4)
2 Sc 0.000 0.183 0.250 (multiplicity 4)
3 Zn 0.000 0.210 0.598 (multiplicity 8)
4 Zn 0.000 0.366 0.523 (multiplicity 8)
5 Zn 0.000 0.371 0.250 (multiplicity 4)
6 Cd 0.000 0.468 0.750 (multiplicity 4)

Largest 10 diffraction maxima, in order of rising 2θ, 2θ = 10–90°:
24.1 deg, I = 66; 34.6 deg, I = 89; 36.2 deg, I = 70; 37.5 deg, I = 56; 37.8 deg, I = 100; 44.2 deg, I = 86; 45.5 deg, I = 47; 46.1 deg, I = 39; 47.9 deg, I = 63; 67.2 deg, I = 46


Entry 2:
Dy6IrPd5: theoretical X-ray powder pattern (Cu Kα), based on DFT lattice parameters and positions (GGA-PBE).
Kinematic intensities with the Lorentz-polarization factor, no thermal factor.

Crystal structure
Cell lengths 4.974, 14.894, 6.905 Å; angles 90.00, 90.00, 90.00 degrees
Space group Cmmm (No. 65)
Asymmetric unit:
1 Dy 0.000 0.000 0.244 (multiplicity 4)
2 Dy 0.000 0.337 0.247 (multiplicity 8)
3 Ir 0.000 0.500 0.000 (multiplicity 2)
4 Pd 0.000 0.167 0.500 (multiplicity 4)
5 Pd 0.000 0.170 0.000 (multiplicity 4)
6 Pd 0.000 0.500 0.500 (multiplicity 2)

Largest 10 diffraction maxima, in order of rising 2θ, 2θ = 10–90°:
36.1 deg, I = 51; 36.5 deg, I = 100; 52.1 deg, I = 18; 53.0 deg, I = 9; 65.2 deg, I = 36; 65.9 deg, I = 18; 77.5 deg, I = 11; 87.8 deg, I = 4; 88.1 deg, I = 8; 89.6 deg, I = 8


Entry 3:
In3CuPd4: theoretical X-ray powder pattern (Cu Kα), based on DFT lattice parameters and positions (GGA-PBE).
Kinematic intensities with the Lorentz-polarization factor, no thermal factor.

Crystal structure
Cell lengths 3.296, 3.296, 12.498 Å; angles 90.00, 90.00, 90.00 degrees
Space group P4/mmm (No. 123)
Asymmetric unit:
1 In 0.000 0.000 0.000 (multiplicity 1)
2 In 0.000 0.000 0.266 (multiplicity 2)
3 Cu 0.000 0.000 0.500 (multiplicity 1)
4 Pd 0.500 0.500 0.134 (multiplicity 2)
5 Pd 0.500 0.500 0.388 (multiplicity 2)

Largest 10 diffraction maxima, in order of rising 2θ, 2θ = 10–90°:
34.7 deg, I = 7; 38.6 deg, I = 59; 39.8 deg, I = 100; 55.8 deg, I = 20; 59.1 deg, I = 6; 65.9 deg, I = 4; 70.7 deg, I = 35; 72.9 deg, I = 12; 82.8 deg, I = 6; 85.7 deg, I = 8


Entry 4:
SnHg2: theoretical X-ray powder pattern (Cu Kα), based on DFT lattice parameters and positions (GGA-PBE).
Kinematic intensities with the Lorentz-polarization factor, no thermal factor.

Crystal structure
Cell lengths 5.584, 3.615, 8.116 Å; angles 90.00, 104.48, 90.00 degrees
Space group C2/m (No. 12)
Asymmetric unit:
1 Sn 0.000 0.000 0.000 (multiplicity 2)
2 Hg 0.128 0.500 0.338 (multiplicity 4)

Largest 10 diffraction maxima, in order of rising 2θ, 2θ = 10–90°:
11.3 deg, I = 17; 32.2 deg, I = 46; 33.4 deg, I = 100; 34.2 deg, I = 48; 35.0 deg, I = 86; 45.2 deg, I = 20; 50.5 deg, I = 16; 59.7 deg, I = 20; 61.2 deg, I = 18; 62.4 deg, I = 18


Entry 5:
U2Fe2Si3: theoretical X-ray powder pattern (Cu Kα), based on DFT lattice parameters and positions (GGA-PBE).
Kinematic intensities with the Lorentz-polarization factor, no thermal factor.

Crystal structure
Cell lengths 9.843, 3.833, 6.271 Å; angles 90.00, 118.03, 90.00 degrees
Space group C2/m (No. 12)
Asymmetric unit:
1 U 0.170 0.000 0.333 (multiplicity 4)
2 Fe 0.132 0.000 0.722 (multiplicity 4)
3 Si 0.000 0.500 0.500 (multiplicity 2)
4 Si 0.116 0.500 0.943 (multiplicity 4)

Largest 10 diffraction maxima, in order of rising 2θ, 2θ = 10–90°:
16.0 deg, I = 65; 19.1 deg, I = 75; 20.4 deg, I = 37; 25.4 deg, I = 47; 32.7 deg, I = 82; 37.4 deg, I = 100; 38.9 deg, I = 45; 39.0 deg, I = 92; 40.4 deg, I = 45; 47.4 deg, I = 48


Entry 6:
Pm3SmCo2: theoretical X-ray powder pattern (Cu Kα), based on DFT lattice parameters and positions (GGA-PBE).
Kinematic intensities with the Lorentz-polarization factor, no thermal factor.

Crystal structure
Cell lengths 16.932, 3.791, 12.033 Å; angles 90.00, 124.99, 90.00 degrees
Space group C2/m (No. 12)
Asymmetric unit:
1 Pm 0.084 0.000 0.443 (multiplicity 4)
2 Pm 0.084 0.000 0.944 (multiplicity 4)
3 Pm 0.159 0.500 0.751 (multiplicity 4)
4 Sm 0.160 0.500 0.252 (multiplicity 4)
5 Co 0.234 0.500 0.547 (multiplicity 4)
6 Co 0.235 0.500 0.048 (multiplicity 4)

Largest 10 diffraction maxima, in order of rising 2θ, 2θ = 10–90°:
29.2 deg, I = 80; 30.1 deg, I = 54; 30.5 deg, I = 49; 30.8 deg, I = 31; 32.0 deg, I = 62; 32.6 deg, I = 100; 40.0 deg, I = 32; 40.3 deg, I = 36; 41.0 deg, I = 33; 48.0 deg, I = 34


Entry 7:
Cu2Ni5Rh2: theoretical X-ray powder pattern (Cu Kα), based on DFT lattice parameters and positions (GGA-PBE).
Kinematic intensities with the Lorentz-polarization factor, no thermal factor.

Crystal structure
Cell lengths 10.423, 9.521, 4.579 Å; angles 90.00, 104.63, 90.00 degrees
Space group Cc (No. 9)
Asymmetric unit:
1 Cu 0.000 0.177 0.000 (multiplicity 4)
2 Cu 0.244 0.290 0.094 (multiplicity 4)
3 Ni 0.053 0.440 0.087 (multiplicity 4)
4 Ni 0.155 0.017 0.818 (multiplicity 4)
5 Ni 0.258 0.448 0.530 (multiplicity 4)
6 Ni 0.365 0.073 0.172 (multiplicity 4)
7 Ni 0.445 0.427 0.954 (multiplicity 4)
8 Rh 0.070 0.293 0.561 (multiplicity 4)
9 Rh 0.317 0.185 0.646 (multiplicity 4)

Largest 10 diffraction maxima, in order of rising 2θ, 2θ = 10–90°:
35.6 deg, I = 22; 39.0 deg, I = 24; 40.7 deg, I = 26; 44.8 deg, I = 100; 45.1 deg, I = 46; 45.5 deg, I = 16; 46.0 deg, I = 37; 47.3 deg, I = 37; 47.5 deg, I = 41; 49.0 deg, I = 28


Entry 8:
Dy5Mg4Ru4: theoretical X-ray powder pattern (Cu Kα), based on DFT lattice parameters and positions (GGA-PBE).
Kinematic intensities with the Lorentz-polarization factor, no thermal factor.

Crystal structure
Cell lengths 11.464, 11.464, 4.223 Å; angles 90.00, 90.00, 90.00 degrees
Space group I4/m (No. 87)
Asymmetric unit:
1 Dy 0.000 0.000 0.000 (multiplicity 2)
2 Dy 0.130 0.796 0.500 (multiplicity 8)
3 Mg 0.085 0.390 0.500 (multiplicity 8)
4 Ru 0.061 0.239 0.000 (multiplicity 8)

Largest 10 diffraction maxima, in order of rising 2θ, 2θ = 10–90°:
10.9 deg, I = 62; 27.4 deg, I = 52; 31.6 deg, I = 81; 35.0 deg, I = 46; 35.3 deg, I = 100; 38.8 deg, I = 56; 40.1 deg, I = 37; 42.8 deg, I = 34; 56.5 deg, I = 23; 60.1 deg, I = 23